Structure and computed X-ray diffraction stick pattern of TaTiZn2O6 (the GGA-PBE geometry in Alexandria; Cu Kα).

Crystal structure
Cell: 5.2931 7.7143 5.3285 Å, 90.00 90.28 90.00°
Space group P2_1/m (No. 11)
Asymmetric unit:
Ta (0.0000, 0.0000, 0.0000) (multiplicity 2)
Ti (0.5000, 0.0000, 0.5000) (multiplicity 2)
Zn (0.0169, 0.2500, 0.4844) (multiplicity 2)
Zn (0.4968, 0.7500, 0.0419) (multiplicity 2)
O (0.1214, 0.2500, 0.0611) (multiplicity 2)
O (0.1697, 0.5630, 0.3203) (multiplicity 4)
O (0.3211, 0.5637, 0.8235) (multiplicity 4)
O (0.3891, 0.2500, 0.5721) (multiplicity 2)

Most intense lines, 2θ from 10° to 80°, in order of rising 2θ:
hkl 0 0 1, d 5.328, I 19
hkl 1 0 0, d 5.293, I 20
hkl 1 2 0, d 3.121, I 23
hkl 1 2 1, d 2.691, I 100
hkl 0 0 2, d 2.664, I 25
hkl 2 0 0, d 2.647, I 24
hkl 0 4 0, d 1.929, I 13
hkl 2 0 2, d 1.873, I 11
hkl 0 4 2, d 1.562, I 12
hkl 2 4 0, d 1.559, I 11
hkl 3 2 -1, d 1.538, I 12
hkl 3 2 1, d 1.534, I 12